# Mg2Cr3O8
Computed XRD peak list, copper Kα. Input: a cell relaxed with GGA+U.

Top 10 peaks for 2θ = 10–90°, by angle:
- 18.69°, d 4.748, rel. 100, (0 0 2)
- 19.84°, d 4.475, rel. 32, (1 0 1)
- 25.70°, d 3.467, rel. 36, (1 0 2)
- 33.36°, d 2.686, rel. 27, (1 0 3)
- 36.03°, d 2.493, rel. 43, (1 1 2)
- 36.67°, d 2.451, rel. 54, (2 0 1)
- 40.31°, d 2.237, rel. 38, (2 0 2)
- 45.84°, d 1.979, rel. 43, (2 0 3)
- 60.94°, d 1.520, rel. 43, (2 0 5)
- 63.52°, d 1.465, rel. 38, (2 2 0)

Cell and atoms:
abc: 5.858 5.858 9.496
angles: 90.00 90.00 120.00
Fractional positions:
Mg (0.333, 0.667, 0.000)
Mg (0.333, 0.667, 0.402)
Mg (0.667, 0.333, 0.500)
Mg (0.667, 0.333, 0.902)
Cr (0.164, 0.327, 0.724)
Cr (0.164, 0.836, 0.724)
Cr (0.327, 0.164, 0.224)
Cr (0.673, 0.836, 0.724)
Cr (0.836, 0.164, 0.224)
Cr (0.836, 0.673, 0.224)
O (0.000, 0.000, 0.332)
O (0.000, 0.000, 0.832)
O (0.038, 0.519, 0.843)
O (0.163, 0.327, 0.129)
O (0.163, 0.837, 0.129)
O (0.327, 0.163, 0.629)
O (0.333, 0.667, 0.611)
O (0.481, 0.519, 0.843)
O (0.481, 0.962, 0.843)
O (0.519, 0.038, 0.343)
O (0.519, 0.481, 0.343)
O (0.667, 0.333, 0.111)
O (0.673, 0.837, 0.129)
O (0.837, 0.163, 0.629)
O (0.837, 0.673, 0.629)
O (0.962, 0.481, 0.343)